Record 1
Calculated powder diffraction line list of MgCr4Cu3O12 for Cu Kα, 1.54184 Å, from a PBE+U-relaxed structure.

Most intense lines, 2θ from 5° to 70°, by angle:
index, two_theta, Rel. int.
1 1 0, 17.1, 8
2 1 1, 29.8, 9
2 2 0, 34.5, 100
3 1 0, 38.8, 7
2 2 2, 42.6, 2
3 2 1, 46.2, 4
4 0 0, 49.6, 26
3 3 0, 52.9, 2
3 3 2, 59.0, 2
4 2 2, 61.9, 50

```
data_MgCr4Cu3O12
_space_group_name_H-M_alt 'I m -3'
_space_group_IT_number 204
_space_group_name_Hall '-I 2 2 3'
_cell_length_a 7.3474
_cell_length_b 7.3474
_cell_length_c 7.3474
_cell_angle_alpha 90.00
_cell_angle_beta 90.00
_cell_angle_gamma 90.00
loop_
_atom_site_label
_atom_site_fract_x
_atom_site_fract_y
_atom_site_fract_z
_atom_site_occupancy
Mg1 0.0000 0.0000 0.0000 1
Cr1 0.2500 0.2500 0.2500 1
Cu1 0.0000 0.0000 0.5000 1
O1 0.0000 0.3085 0.1675 1
```

***

Record 2
Calculated powder diffraction line list of MgCr2Cu2W4O16 for Cu Kα, 1.54184 Å, from a PBE+U-relaxed structure.

Most intense lines, 2θ from 5° to 70°, by angle:
index, two_theta, Rel. int.
2 0 0, 18.2, 50
0 2 1, 23.3, 65
2 2 0, 24.0, 75
2 2 -1, 29.4, 100
2 2 1, 30.1, 93
0 0 2, 35.2, 39
0 4 1, 35.8, 57
4 0 -2, 51.1, 48
4 4 -1, 52.0, 28
4 0 2, 52.8, 47

```
data_MgCr2Cu2W4O16
_space_group_name_H-M_alt 'C 1 2 1'
_space_group_IT_number 5
_space_group_name_Hall 'C 2y'
_cell_length_a 9.7271
_cell_length_b 11.5198
_cell_length_c 5.1022
_cell_angle_alpha 90.00
_cell_angle_beta 91.75
_cell_angle_gamma 90.00
loop_
_atom_site_label
_atom_site_fract_x
_atom_site_fract_y
_atom_site_fract_z
_atom_site_occupancy
Mg1 0.0000 0.0000 0.0000 1
Cr1 0.0000 0.2655 0.0000 1
Cr2 0.0000 0.6310 0.5000 1
Cu1 0.0000 0.1312 0.5000 1
Cu2 0.0000 0.7734 0.0000 1
W1 0.2230 0.5347 0.0045 1
W2 0.2445 0.3671 0.5085 1
O1 0.1069 0.6382 0.8365 1
O2 0.1172 0.1339 0.8532 1
O3 0.1203 0.2699 0.3329 1
O4 0.1262 0.7596 0.3654 1
O5 0.1319 0.5104 0.3562 1
O6 0.1335 0.3865 0.8344 1
O7 0.1493 0.9047 0.8019 1
O8 0.1487 0.9969 0.2884 1
```

***

Record 3
Calculated powder diffraction line list of MgCr2Cu2W4O16 for Cu Kα, 1.54184 Å, from a PBE+U-relaxed structure.

Most intense lines, 2θ from 5° to 70°, by angle:
index, two_theta, Rel. int.
2 0 0, 18.3, 45
0 2 1, 23.3, 56
2 2 0, 23.8, 51
2 2 -1, 29.6, 100
2 2 1, 29.9, 90
0 4 1, 35.3, 42
0 0 2, 35.8, 32
2 0 -2, 40.2, 36
2 6 0, 50.1, 28
4 4 -1, 52.0, 23

```
data_MgCr2Cu2W4O16
_space_group_name_H-M_alt 'C 1 2 1'
_space_group_IT_number 5
_space_group_name_Hall 'C 2y'
_cell_length_a 9.7009
_cell_length_b 11.7809
_cell_length_c 5.0168
_cell_angle_alpha 90.00
_cell_angle_beta 90.71
_cell_angle_gamma 90.00
loop_
_atom_site_label
_atom_site_fract_x
_atom_site_fract_y
_atom_site_fract_z
_atom_site_occupancy
Mg1 0.0000 0.0000 0.0000 1
Cr1 0.0000 0.1269 0.5000 1
Cr2 0.0000 0.7679 0.0000 1
Cu1 0.0000 0.2815 0.0000 1
Cu2 0.0000 0.5997 0.5000 1
W1 0.2257 0.5372 0.9851 1
W2 0.2500 0.3606 0.4947 1
O1 0.1090 0.6436 0.8378 1
O2 0.1187 0.1194 0.8343 1
O3 0.1227 0.7702 0.3254 1
O4 0.1252 0.2542 0.3621 1
O5 0.1325 0.8862 0.8289 1
O6 0.1345 0.0074 0.3160 1
O7 0.1435 0.3952 0.8129 1
O8 0.1471 0.4926 0.3320 1
```